Diffraction record for Rb2FeNiF6. The PXRD pattern is theoretical, not measured: it uses a structure optimized by DFT (PBE+U) and Cu Kα.

Most intense lines, 2θ from 10° to 80°, sorted by position:
| 2theta | I_rel | index |
| --- | --- | --- |
| 30.04 | 51.3 | 2 0 0 |
| 30.32 | 100.0 | 1 1 2 |
| 37.24 | 23.6 | 2 0 2 |
| 43.00 | 47.5 | 2 2 0 |
| 43.82 | 22.4 | 0 0 4 |
| 53.51 | 39.4 | 3 1 2 |
| 54.04 | 19.2 | 2 0 4 |
| 63.07 | 27.0 | 2 2 4 |

Cell and atoms:
```
data_Rb2FeNiF6
_cell_length_a 5.9499
_cell_length_b 5.9499
_cell_length_c 8.2639
_cell_angle_alpha 90.00
_cell_angle_beta 90.00
_cell_angle_gamma 90.00
_symmetry_space_group_name_H-M 'I 4/m m m'
_symmetry_Int_Tables_number 139
_symmetry_space_group_name_Hall '-I 4 2'
loop_
_atom_site_label
_atom_site_type_symbol
_atom_site_fract_x
_atom_site_fract_y
_atom_site_fract_z
Rb1 Rb 0.0000 0.5000 0.2500
Fe1 Fe 0.0000 0.0000 0.0000
Ni1 Ni 0.0000 0.0000 0.5000
F1 F 0.0000 0.0000 0.2482
F2 F 0.2436 0.2436 0.5000
```